This entry pairs a crystal structure of La2CoGeAu with its theoretical powder XRD pattern. Radiation: Cu Kα (weighted mean of Kα1 and Kα2). Structure: a DFT-relaxed cell (GGA-PBE, Alexandria).
Kinematic intensities with the Lorentz-polarization factor, no thermal factor.

Most intense lines, 5° ≤ 2θ ≤ 70°, by angle:
26.1°, I 22
31.1°, I 100
33.5°, I 65
40.9°, I 19
42.9°, I 12
48.0°, I 24
53.8°, I 34
58.3°, I 34
64.8°, I 19
68.3°, I 11

Atomic structure:
```
La2CoGeAu
1.0
5.357 0.000 0.000
0.000 5.357 0.000
0.000 0.000 4.418
La Co Ge Au
2 1 1 1
Direct
0.000 0.500 0.000 La
0.500 0.000 0.000 La
0.000 0.000 0.000 Co
0.000 0.000 0.500 Ge
0.500 0.500 0.500 Au
```

This entry pairs a crystal structure of Pa2Co2Ge7Au with its theoretical powder XRD pattern. Radiation: Cu Kα (weighted mean of Kα1 and Kα2). Structure: a DFT-relaxed cell (GGA-PBE, Alexandria).
Kinematic intensities with the Lorentz-polarization factor, no thermal factor.

Most intense lines, 5° ≤ 2θ ≤ 70°, by angle:
19.5°, I 36
23.5°, I 28
24.9°, I 35
30.7°, I 55
33.5°, I 100
36.7°, I 96
38.5°, I 59
39.6°, I 29
46.1°, I 78
47.2°, I 31

Atomic structure:
```
Pa2Co2Ge7Au
1.0
2.795 -2.909 0.000
2.795 2.909 0.000
-1.350 0.000 13.665
Pa Co Ge Au
2 2 7 1
Direct
0.198 0.198 0.150 Pa
0.802 0.802 0.850 Pa
0.345 0.345 0.782 Co
0.655 0.655 0.218 Co
0.201 0.739 0.325 Ge
0.261 0.799 0.675 Ge
0.302 0.302 0.947 Ge
0.500 0.500 0.500 Ge
0.698 0.698 0.053 Ge
0.739 0.201 0.325 Ge
0.799 0.261 0.675 Ge
0.000 0.000 0.500 Au
```

This entry pairs a crystal structure of HfCo2Au2 with its theoretical powder XRD pattern. Radiation: Cu Kα (weighted mean of Kα1 and Kα2). Structure: a DFT-relaxed cell (GGA-PBE, Alexandria).
Kinematic intensities with the Lorentz-polarization factor, no thermal factor.

Most intense lines, 5° ≤ 2θ ≤ 70°, by angle:
30.6°, I 28
31.0°, I 27
36.7°, I 65
39.0°, I 15
39.3°, I 100
43.8°, I 46
49.4°, I 22
63.9°, I 17
65.7°, I 21
68.1°, I 25

Atomic structure:
```
HfCo2Au2
1.0
6.535 0.000 0.000
0.000 6.535 0.000
0.000 0.000 3.693
Hf Co Au
2 4 4
Direct
0.000 0.000 0.000 Hf
0.500 0.500 0.000 Hf
0.124 0.376 0.000 Co
0.376 0.876 0.000 Co
0.624 0.124 0.000 Co
0.876 0.624 0.000 Co
0.171 0.671 0.500 Au
0.329 0.171 0.500 Au
0.671 0.829 0.500 Au
0.829 0.329 0.500 Au
```